Entry 1:
# NiPd3
Calculated PXRD pattern, Cu Kα (weighted mean of Kα1 and Kα2). Input: a crystal structure in Alexandria, relaxed with GGA-PBE.
Neutral-atom scattering factors, no anomalous dispersion.

The 8 most intense peaks (10 to 80 degrees two-theta), most intense first:
2θ 40.4, 2.234 Å, intensity 100.0
2θ 46.2, 1.967 Å, intensity 17.0
2θ 47.6, 1.909 Å, intensity 15.5
2θ 47.1, 1.930 Å, intensity 15.5
2θ 68.5, 1.370 Å, intensity 10.1
2θ 68.1, 1.378 Å, intensity 9.9
2θ 69.2, 1.357 Å, intensity 9.4
2θ 28.4, 3.138 Å, intensity 3.0

Atomic structure:
a = 5.5112 Å, b = 5.5112 Å, c = 3.8180 Å
α = 90.00°, β = 90.00°, γ = 91.09°
Element x y z (fractional)
Ni1 0.1236 0.8764 0.7500
Ni2 0.8764 0.1236 0.2500
Pd1 0.1158 0.3631 0.7500
Pd2 0.3631 0.1158 0.2500
Pd3 0.3734 0.6266 0.2500
Pd4 0.6266 0.3734 0.7500
Pd5 0.6369 0.8842 0.7500
Pd6 0.8842 0.6369 0.2500

=====

Entry 2:
# NiPd2
Calculated PXRD pattern, Cu Kα (weighted mean of Kα1 and Kα2). Input: a crystal structure in Alexandria, relaxed with GGA-PBE.
Neutral-atom scattering factors, no anomalous dispersion.

The 8 most intense peaks (10 to 80 degrees two-theta), most intense first:
2θ 42.4, 2.130 Å, intensity 100.0
2θ 44.2, 2.051 Å, intensity 85.4
2θ 40.1, 2.248 Å, intensity 56.8
2θ 39.8, 2.265 Å, intensity 45.9
2θ 55.0, 1.671 Å, intensity 16.5
2θ 43.1, 2.099 Å, intensity 16.1
2θ 73.3, 1.292 Å, intensity 14.6
2θ 67.8, 1.382 Å, intensity 13.2

Atomic structure:
a = 5.4090 Å, b = 5.4090 Å, c = 6.1189 Å
α = 106.00°, β = 106.00°, γ = 29.60°
Element x y z (fractional)
Ni1 0.1610 0.1610 0.0418
Ni2 0.8390 0.8390 0.9582
Pd1 0.1827 0.1827 0.6294
Pd2 0.4778 0.4778 0.7451
Pd3 0.5222 0.5222 0.2549
Pd4 0.8173 0.8173 0.3706

=====

Entry 3:
# Pm8NiPd2
Calculated PXRD pattern, Cu Kα (weighted mean of Kα1 and Kα2). Input: a crystal structure in Alexandria, relaxed with GGA-PBE.
Neutral-atom scattering factors, no anomalous dispersion.

The 8 most intense peaks (10 to 80 degrees two-theta), most intense first:
2θ 34.6, 2.593 Å, intensity 100.0
2θ 31.7, 2.825 Å, intensity 93.3
2θ 29.3, 3.052 Å, intensity 70.9
2θ 30.5, 2.931 Å, intensity 53.7
2θ 31.0, 2.888 Å, intensity 49.2
2θ 32.3, 2.775 Å, intensity 34.4
2θ 34.4, 2.606 Å, intensity 34.2
2θ 59.4, 1.556 Å, intensity 27.2

Atomic structure:
a = 9.4972 Å, b = 9.4972 Å, c = 6.7912 Å
α = 107.23°, β = 107.23°, γ = 31.70°
Element x y z (fractional)
Pm1 0.0279 0.0279 0.2947
Pm2 0.2020 0.2020 0.8383
Pm3 0.3304 0.3304 0.5024
Pm4 0.4098 0.4098 0.0448
Pm5 0.5902 0.5902 0.9552
Pm6 0.6696 0.6696 0.4976
Pm7 0.7980 0.7980 0.1617
Pm8 0.9721 0.9721 0.7053
Ni1 0.5000 0.5000 0.5000
Pd1 0.1736 0.1736 0.2366
Pd2 0.8264 0.8264 0.7634

=====

Entry 4:
# Pm4Ni2Pd
Calculated PXRD pattern, Cu Kα (weighted mean of Kα1 and Kα2). Input: a crystal structure in Alexandria, relaxed with GGA-PBE.
Neutral-atom scattering factors, no anomalous dispersion.

The 8 most intense peaks (10 to 80 degrees two-theta), most intense first:
2θ 28.0, 3.192 Å, intensity 100.0
2θ 37.3, 2.413 Å, intensity 79.2
2θ 31.4, 2.847 Å, intensity 76.8
2θ 31.3, 2.856 Å, intensity 49.5
2θ 47.2, 1.924 Å, intensity 47.7
2θ 39.9, 2.259 Å, intensity 31.5
2θ 51.6, 1.771 Å, intensity 27.2
2θ 51.7, 1.768 Å, intensity 25.7

Atomic structure:
a = 7.8143 Å, b = 7.8143 Å, c = 9.0355 Å
α = 125.31°, β = 125.31°, γ = 70.32°
Element x y z (fractional)
Pm1 0.0471 0.9529 0.5000
Pm2 0.1071 0.5133 0.6206
Pm3 0.1076 0.5125 0.0004
Pm4 0.5125 0.1076 0.5004
Pm5 0.5133 0.1071 0.1206
Pm6 0.5724 0.6674 0.6201
Pm7 0.6674 0.5724 0.1201
Pm8 0.9529 0.0471 0.0000
Ni1 0.3105 0.8099 0.0608
Ni2 0.8099 0.3105 0.5608
Ni3 0.8101 0.8099 0.0602
Ni4 0.8099 0.8101 0.5602
Pd1 0.1842 0.4354 0.3104
Pd2 0.4354 0.1842 0.8104

=====

Entry 5:
# Pm3NiPd3
Calculated PXRD pattern, Cu Kα (weighted mean of Kα1 and Kα2). Input: a crystal structure in Alexandria, relaxed with GGA-PBE.
Neutral-atom scattering factors, no anomalous dispersion.

The 8 most intense peaks (10 to 80 degrees two-theta), most intense first:
2θ 32.1, 2.787 Å, intensity 100.0
2θ 33.6, 2.670 Å, intensity 37.4
2θ 40.8, 2.209 Å, intensity 32.1
2θ 40.1, 2.250 Å, intensity 31.7
2θ 36.5, 2.465 Å, intensity 30.5
2θ 42.8, 2.111 Å, intensity 26.4
2θ 46.5, 1.952 Å, intensity 22.0
2θ 29.3, 3.050 Å, intensity 21.3

Atomic structure:
a = 9.6128 Å, b = 9.6128 Å, c = 9.6128 Å
α = 156.56°, β = 153.43°, γ = 35.72°
Element x y z (fractional)
Pm1 0.0000 0.0000 0.0000
Pm2 0.3655 0.3655 0.0000
Pm3 0.6869 0.1869 0.5000
Ni1 0.2560 0.7560 0.5000
Pd1 0.1218 0.6218 0.5000
Pd2 0.5304 0.5304 0.0000
Pd3 0.8304 0.8304 0.0000

=====

Entry 6:
# Pm3NiPd2
Calculated PXRD pattern, Cu Kα (weighted mean of Kα1 and Kα2). Input: a crystal structure in Alexandria, relaxed with GGA-PBE.
Neutral-atom scattering factors, no anomalous dispersion.

The 8 most intense peaks (10 to 80 degrees two-theta), most intense first:
2θ 31.3, 2.854 Å, intensity 100.0
2θ 35.1, 2.559 Å, intensity 69.7
2θ 30.5, 2.932 Å, intensity 64.1
2θ 43.9, 2.061 Å, intensity 58.1
2θ 38.4, 2.342 Å, intensity 50.2
2θ 27.3, 3.261 Å, intensity 48.6
2θ 34.1, 2.628 Å, intensity 37.2
2θ 40.5, 2.227 Å, intensity 36.5

Atomic structure:
a = 11.7226 Å, b = 4.1229 Å, c = 11.8651 Å
α = 90.00°, β = 90.00°, γ = 90.00°
Element x y z (fractional)
Pm1 0.0536 0.2500 0.1251
Pm2 0.1216 0.7500 0.5542
Pm3 0.2215 0.2500 0.8034
Pm4 0.2785 0.7500 0.3034
Pm5 0.3784 0.2500 0.0542
Pm6 0.4464 0.7500 0.6251
Pm7 0.5536 0.2500 0.3749
Pm8 0.6216 0.7500 0.9458
Pm9 0.7215 0.2500 0.6966
Pm10 0.7785 0.7500 0.1966
Pm11 0.8784 0.2500 0.4458
Pm12 0.9464 0.7500 0.8749
Ni1 0.1217 0.2500 0.3714
Ni2 0.3783 0.7500 0.8714
Ni3 0.6217 0.2500 0.1286
Ni4 0.8783 0.7500 0.6286
Pd1 0.0074 0.7500 0.3054
Pd2 0.1845 0.7500 0.9924
Pd3 0.3155 0.2500 0.4924
Pd4 0.4926 0.2500 0.8054
Pd5 0.5074 0.7500 0.1946
Pd6 0.6845 0.7500 0.5076
Pd7 0.8155 0.2500 0.0076
Pd8 0.9926 0.2500 0.6946

=====

Entry 7:
# PrNi4Pd8
Calculated PXRD pattern, Cu Kα (weighted mean of Kα1 and Kα2). Input: a crystal structure in Alexandria, relaxed with GGA-PBE.
Neutral-atom scattering factors, no anomalous dispersion.

The 8 most intense peaks (10 to 80 degrees two-theta), most intense first:
2θ 40.7, 2.216 Å, intensity 100.0
2θ 40.5, 2.225 Å, intensity 49.2
2θ 35.1, 2.556 Å, intensity 46.9
2θ 46.2, 1.966 Å, intensity 43.8
2θ 41.2, 2.191 Å, intensity 42.8
2θ 35.7, 2.517 Å, intensity 28.6
2θ 73.9, 1.283 Å, intensity 26.6
2θ 45.7, 1.984 Å, intensity 24.0

Atomic structure:
a = 6.7785 Å, b = 6.7785 Å, c = 6.7785 Å
α = 97.92°, β = 97.92°, γ = 136.41°
Element x y z (fractional)
Pr1 0.0000 0.0000 0.0000
Ni1 0.0000 0.0000 0.5000
Ni2 0.0000 0.5000 0.0000
Ni3 0.5000 0.0000 0.0000
Ni4 0.5000 0.5000 0.5000
Pd1 0.0000 0.3469 0.3469
Pd2 0.0000 0.6531 0.6531
Pd3 0.2800 0.5000 0.7800
Pd4 0.3469 0.0000 0.3469
Pd5 0.5000 0.2800 0.7800
Pd6 0.5000 0.7200 0.2200
Pd7 0.6531 0.0000 0.6531
Pd8 0.7200 0.5000 0.2200

=====

Entry 8:
# Pr2Si3Ni4Pd
Calculated PXRD pattern, Cu Kα (weighted mean of Kα1 and Kα2). Input: a crystal structure in Alexandria, relaxed with GGA-PBE.
Neutral-atom scattering factors, no anomalous dispersion.

The 8 most intense peaks (10 to 80 degrees two-theta), most intense first:
2θ 36.1, 2.487 Å, intensity 100.0
2θ 35.1, 2.555 Å, intensity 48.6
2θ 44.4, 2.039 Å, intensity 44.8
2θ 23.6, 3.767 Å, intensity 22.8
2θ 57.9, 1.594 Å, intensity 22.6
2θ 76.3, 1.247 Å, intensity 21.3
2θ 51.6, 1.772 Å, intensity 21.3
2θ 70.4, 1.337 Å, intensity 16.4

Atomic structure:
a = 4.0778 Å, b = 4.0778 Å, c = 9.8358 Å
α = 90.00°, β = 90.00°, γ = 90.00°
Element x y z (fractional)
Pr1 0.0000 0.5000 0.2495
Pr2 0.5000 0.0000 0.7505
Si1 0.0000 0.5000 0.8826
Si2 0.5000 0.0000 0.1174
Si3 0.5000 0.5000 0.5000
Ni1 0.0000 0.0000 0.0000
Ni2 0.0000 0.5000 0.6454
Ni3 0.5000 0.0000 0.3546
Ni4 0.5000 0.5000 0.0000
Pd1 0.0000 0.0000 0.5000

=====

Entry 9:
# PrSmNiPd
Calculated PXRD pattern, Cu Kα (weighted mean of Kα1 and Kα2). Input: a crystal structure in Alexandria, relaxed with GGA-PBE.
Neutral-atom scattering factors, no anomalous dispersion.

The 8 most intense peaks (10 to 80 degrees two-theta), most intense first:
2θ 31.5, 2.840 Å, intensity 100.0
2θ 39.8, 2.265 Å, intensity 57.9
2θ 34.2, 2.622 Å, intensity 31.9
2θ 40.1, 2.249 Å, intensity 29.8
2θ 33.7, 2.657 Å, intensity 26.1
2θ 46.6, 1.950 Å, intensity 19.3
2θ 39.4, 2.288 Å, intensity 19.1
2θ 26.0, 3.433 Å, intensity 18.5

Atomic structure:
a = 4.4982 Å, b = 5.6603 Å, c = 5.6603 Å
α = 40.31°, β = 90.00°, γ = 90.00°
Element x y z (fractional)
Pr1 0.0000 0.0000 0.0000
Sm1 0.5000 0.2769 0.2769
Ni1 0.0000 0.7215 0.7215
Pd1 0.5000 0.5639 0.5639

=====

Entry 10:
# Ni2Pd4Pt5
Calculated PXRD pattern, Cu Kα (weighted mean of Kα1 and Kα2). Input: a crystal structure in Alexandria, relaxed with GGA-PBE.
Neutral-atom scattering factors, no anomalous dispersion.

The 8 most intense peaks (10 to 80 degrees two-theta), most intense first:
2θ 43.1, 2.101 Å, intensity 100.0
2θ 39.0, 2.307 Å, intensity 82.7
2θ 40.4, 2.232 Å, intensity 74.4
2θ 42.9, 2.110 Å, intensity 62.0
2θ 20.5, 4.336 Å, intensity 35.3
2θ 38.3, 2.349 Å, intensity 29.0
2θ 34.4, 2.606 Å, intensity 25.9
2θ 40.2, 2.246 Å, intensity 23.9

Atomic structure:
a = 7.0971 Å, b = 7.0971 Å, c = 5.6370 Å
α = 90.32°, β = 90.32°, γ = 36.67°
Element x y z (fractional)
Ni1 0.0733 0.0733 0.4070
Ni2 0.9267 0.9267 0.5930
Pd1 0.2156 0.2156 0.1085
Pd2 0.4086 0.4086 0.3473
Pd3 0.5914 0.5914 0.6527
Pd4 0.7844 0.7844 0.8915
Pt1 0.0000 0.0000 0.0000
Pt2 0.2320 0.2320 0.6246
Pt3 0.4078 0.4078 0.8565
Pt4 0.5922 0.5922 0.1435
Pt5 0.7680 0.7680 0.3754

=====

Entry 11:
# Ni7Pd2Pt3
Calculated PXRD pattern, Cu Kα (weighted mean of Kα1 and Kα2). Input: a crystal structure in Alexandria, relaxed with GGA-PBE.
Neutral-atom scattering factors, no anomalous dispersion.

The 8 most intense peaks (10 to 80 degrees two-theta), most intense first:
2θ 43.4, 2.087 Å, intensity 100.0
2θ 23.0, 3.861 Å, intensity 31.8
2θ 33.6, 2.671 Å, intensity 27.2
2θ 46.4, 1.956 Å, intensity 23.9
2θ 49.2, 1.850 Å, intensity 20.1
2θ 38.7, 2.325 Å, intensity 19.3
2θ 70.0, 1.344 Å, intensity 13.6
2θ 35.4, 2.539 Å, intensity 12.9

Atomic structure:
a = 11.7524 Å, b = 11.7524 Å, c = 3.7009 Å
α = 90.00°, β = 90.00°, γ = 160.84°
Element x y z (fractional)
Ni1 0.0000 0.0000 0.0000
Ni2 0.0747 0.9253 0.5000
Ni3 0.2735 0.7265 0.0000
Ni4 0.4245 0.5755 0.0000
Ni5 0.5755 0.4245 0.0000
Ni6 0.7265 0.2735 0.0000
Ni7 0.9253 0.0747 0.5000
Pd1 0.1558 0.8442 0.0000
Pd2 0.8442 0.1558 0.0000
Pt1 0.3468 0.6532 0.5000
Pt2 0.5000 0.5000 0.5000
Pt3 0.6532 0.3468 0.5000

=====

Entry 12:
# NiPd4Pt7
Calculated PXRD pattern, Cu Kα (weighted mean of Kα1 and Kα2). Input: a crystal structure in Alexandria, relaxed with GGA-PBE.
Neutral-atom scattering factors, no anomalous dispersion.

The 8 most intense peaks (10 to 80 degrees two-theta), most intense first:
2θ 38.7, 2.328 Å, intensity 100.0
2θ 40.4, 2.232 Å, intensity 75.0
2θ 43.6, 2.076 Å, intensity 51.3
2θ 42.4, 2.130 Å, intensity 36.6
2θ 36.6, 2.458 Å, intensity 33.1
2θ 43.2, 2.096 Å, intensity 30.8
2θ 33.0, 2.713 Å, intensity 28.3
2θ 20.9, 4.248 Å, intensity 26.6

Atomic structure:
a = 4.9483 Å, b = 5.4973 Å, c = 7.2235 Å
α = 76.67°, β = 83.42°, γ = 88.30°
Element x y z (fractional)
Ni1 0.0000 0.0000 0.0000
Pd1 0.3041 0.4294 0.6871
Pd2 0.3078 0.9312 0.6717
Pd3 0.6922 0.0688 0.3283
Pd4 0.6959 0.5706 0.3129
Pt1 0.1885 0.2919 0.3585
Pt2 0.1919 0.8050 0.3308
Pt3 0.2411 0.5764 0.0179
Pt4 0.5000 0.0000 0.0000
Pt5 0.7589 0.4236 0.9821
Pt6 0.8081 0.1950 0.6692
Pt7 0.8115 0.7081 0.6415